The following is a simulated powder diffractogram of CsK2GaCl6. It was derived from the GGA-PBE geometry in the Materials Project, using a wavelength of 1.5418 Å.
No peak broadening, texture or thermal motion is included.

Top 10 peaks for 10 to 80 degrees two-theta, in order of rising 2θ:
2theta	intensity
15.81	91
22.44	100
31.94	88
34.89	21
35.83	34
39.38	35
45.80	53
48.75	17
51.57	30
61.96	28

Crystal structure
Cell lengths 7.925, 7.925, 7.925 Å; angles 60.00, 60.00, 60.00 degrees
Atoms (fractional coordinates):
1 Cs 0.000 0.000 0.000
2 K 0.250 0.250 0.250
3 K 0.750 0.750 0.750
4 Ga 0.500 0.500 0.500
5 Cl 0.287 0.287 0.713
6 Cl 0.287 0.713 0.287
7 Cl 0.287 0.713 0.713
8 Cl 0.713 0.287 0.287
9 Cl 0.713 0.287 0.713
10 Cl 0.713 0.713 0.287

***

The following is a simulated powder diffractogram of Cs2NaGaCl6. It was derived from the GGA-PBE geometry in the Materials Project, using a wavelength of 1.5418 Å.
No peak broadening, texture or thermal motion is included.

Top 10 peaks for 10 to 80 degrees two-theta, in order of rising 2θ:
2theta	intensity
14.57	16
23.90	100
29.38	67
34.06	76
42.04	43
48.93	50
55.16	23
58.11	23
60.96	16
66.44	25

Crystal structure
Cell lengths 7.446, 7.446, 7.446 Å; angles 60.00, 60.00, 60.00 degrees
Atoms (fractional coordinates):
1 Cs 0.250 0.250 0.250
2 Cs 0.750 0.750 0.750
3 Na 0.000 0.000 0.000
4 Ga 0.500 0.500 0.500
5 Cl 0.271 0.271 0.729
6 Cl 0.271 0.729 0.271
7 Cl 0.271 0.729 0.729
8 Cl 0.729 0.271 0.271
9 Cl 0.729 0.271 0.729
10 Cl 0.729 0.729 0.271

***

The following is a simulated powder diffractogram of Cs2GdCl5. It was derived from the GGA-PBE geometry in the Materials Project, using a wavelength of 1.5418 Å.
No peak broadening, texture or thermal motion is included.

Top 10 peaks for 10 to 80 degrees two-theta, in order of rising 2θ:
2theta	intensity
20.67	100
21.42	44
21.56	33
22.31	31
23.31	55
24.43	35
30.25	37
31.87	57
34.45	49
47.45	34

Crystal structure
Cell lengths 9.796, 7.631, 15.595 Å; angles 90.00, 90.00, 90.00 degrees
Atoms (fractional coordinates):
1 Cs 0.024 0.250 0.213
2 Cs 0.165 0.750 0.417
3 Cs 0.335 0.250 0.917
4 Cs 0.476 0.750 0.713
5 Cs 0.524 0.250 0.287
6 Cs 0.665 0.750 0.083
7 Cs 0.835 0.250 0.583
8 Cs 0.976 0.750 0.787
9 Gd 0.178 0.750 0.065
10 Gd 0.322 0.250 0.565
11 Gd 0.678 0.750 0.435
12 Gd 0.822 0.250 0.935
13 Cl 0.000 0.000 0.000
14 Cl 0.000 0.500 0.000
15 Cl 0.018 0.750 0.201
16 Cl 0.166 0.504 0.619
17 Cl 0.166 0.996 0.619
18 Cl 0.212 0.250 0.408
19 Cl 0.288 0.750 0.908
20 Cl 0.334 0.004 0.119
21 Cl 0.334 0.496 0.119
22 Cl 0.482 0.250 0.701
23 Cl 0.500 0.000 0.500
24 Cl 0.500 0.500 0.500
25 Cl 0.518 0.750 0.299
26 Cl 0.666 0.504 0.881
27 Cl 0.666 0.996 0.881
28 Cl 0.712 0.250 0.092
29 Cl 0.788 0.750 0.592
30 Cl 0.834 0.004 0.381
31 Cl 0.834 0.496 0.381
32 Cl 0.982 0.250 0.799

***

The following is a simulated powder diffractogram of Cs2NaGdCl6. It was derived from the GGA-PBE geometry in the Materials Project, using a wavelength of 1.5418 Å.
No peak broadening, texture or thermal motion is included.

Top 10 peaks for 10 to 80 degrees two-theta, in order of rising 2θ:
2theta	intensity
13.98	30
22.93	100
26.96	16
28.18	28
32.65	66
40.28	47
46.85	45
52.78	22
63.46	25
77.89	19

Crystal structure
Cell lengths 7.757, 7.757, 7.757 Å; angles 60.00, 60.00, 60.00 degrees
Atoms (fractional coordinates):
1 Cs 0.250 0.250 0.250
2 Cs 0.750 0.750 0.750
3 Na 0.000 0.000 0.000
4 Gd 0.500 0.500 0.500
5 Cl 0.256 0.256 0.744
6 Cl 0.256 0.744 0.256
7 Cl 0.256 0.744 0.744
8 Cl 0.744 0.256 0.256
9 Cl 0.744 0.256 0.744
10 Cl 0.744 0.744 0.256

***

The following is a simulated powder diffractogram of Cs5Te3H4NCl18. It was derived from the GGA-PBE geometry in the Materials Project, using a wavelength of 1.5418 Å.
No peak broadening, texture or thermal motion is included.

Top 10 peaks for 10 to 80 degrees two-theta, in order of rising 2θ:
2theta	intensity
14.42	58
23.66	100
27.81	30
29.08	54
33.70	84
41.59	46
48.40	56
54.56	22
57.46	19
65.68	25

Crystal structure
Cell lengths 7.522, 7.522, 18.427 Å; angles 90.00, 90.00, 120.00 degrees
Atoms (fractional coordinates):
1 Cs 0.000 0.000 0.000
2 Cs 0.000 0.000 0.500
3 Cs 0.333 0.667 0.333
4 Cs 0.333 0.667 0.833
5 Cs 0.667 0.333 0.167
6 Te 0.000 0.000 0.250
7 Te 0.333 0.667 0.584
8 Te 0.667 0.333 0.916
9 H 0.517 0.258 0.685
10 H 0.667 0.333 0.610
11 H 0.742 0.258 0.685
12 H 0.742 0.483 0.685
13 N 0.667 0.333 0.667
14 Cl 0.010 0.505 0.503
15 Cl 0.161 0.323 0.169
16 Cl 0.161 0.839 0.169
17 Cl 0.172 0.343 0.664
18 Cl 0.172 0.828 0.664
19 Cl 0.323 0.161 0.331
20 Cl 0.344 0.172 0.836
21 Cl 0.495 0.505 0.503
22 Cl 0.495 0.990 0.503
23 Cl 0.505 0.011 0.997
24 Cl 0.505 0.495 0.997
25 Cl 0.657 0.828 0.664
26 Cl 0.677 0.839 0.169
27 Cl 0.828 0.172 0.836
28 Cl 0.828 0.656 0.836
29 Cl 0.839 0.161 0.331
30 Cl 0.839 0.677 0.331
31 Cl 0.989 0.495 0.997

***

The following is a simulated powder diffractogram of Cs2TeH6Cl2O6. It was derived from the GGA-PBE geometry in the Materials Project, using a wavelength of 1.5418 Å.
No peak broadening, texture or thermal motion is included.

Top 10 peaks for 10 to 80 degrees two-theta, in order of rising 2θ:
2theta	intensity
16.37	35
21.34	26
22.15	31
22.54	45
23.44	76
24.75	25
26.43	100
28.85	60
32.14	24
41.78	37

Crystal structure
Cell lengths 6.476, 11.279, 7.983 Å; angles 90.00, 107.59, 90.00 degrees
Atoms (fractional coordinates):
1 Cs 0.250 0.129 0.061
2 Cs 0.250 0.371 0.561
3 Cs 0.750 0.629 0.439
4 Cs 0.750 0.871 0.939
5 Te 0.000 0.000 0.500
6 Te 0.000 0.500 0.000
7 H 0.151 0.647 0.831
8 H 0.151 0.853 0.331
9 H 0.216 0.653 0.199
10 H 0.216 0.847 0.699
11 H 0.376 0.082 0.572
12 H 0.376 0.418 0.072
13 H 0.624 0.582 0.928
14 H 0.624 0.918 0.428
15 H 0.784 0.153 0.301
16 H 0.784 0.347 0.801
17 H 0.849 0.147 0.669
18 H 0.849 0.353 0.169
19 Cl 0.376 0.672 0.697
20 Cl 0.376 0.828 0.197
21 Cl 0.624 0.172 0.803
22 Cl 0.624 0.328 0.303
23 O 0.014 0.642 0.863
24 O 0.014 0.858 0.363
25 O 0.168 0.573 0.223
26 O 0.168 0.927 0.723
27 O 0.260 0.067 0.460
28 O 0.260 0.433 0.960
29 O 0.740 0.567 0.040
30 O 0.740 0.933 0.540
31 O 0.832 0.073 0.277
32 O 0.832 0.427 0.777
33 O 0.986 0.142 0.637
34 O 0.986 0.358 0.137